Theoretical XRD peak list
Compound: NaLaPa4N8
Radiation: CuKα
Structure: a DFT-relaxed cell (PBE, Alexandria)

Principal peaks in the range 2θ from 5° to 70°, in order of rising 2θ:
- 16.32 deg, d 5.433, I 41
- 26.22 deg, d 3.398, I 48
- 29.52 deg, d 3.026, I 100
- 30.03 deg, d 2.975, I 45
- 31.04 deg, d 2.881, I 79
- 51.39 deg, d 1.778, I 35

Cell: 6.8099 6.8099 6.8099 Å, 62.96 62.96 62.96°
Sites, in units of the cell vectors:
1 Na 0.0000 0.0000 0.0000
2 La 0.3795 0.3795 0.3795
3 Pa 0.4949 0.9990 0.9990
4 Pa 0.6059 0.6059 0.6059
5 Pa 0.9990 0.4949 0.9990
6 Pa 0.9990 0.9990 0.4949
7 N 0.2293 0.7441 0.7441
8 N 0.2314 0.2314 0.2314
9 N 0.2579 0.2579 0.7961
10 N 0.2579 0.7961 0.2579
11 N 0.7441 0.2293 0.7441
12 N 0.7441 0.7441 0.2293
13 N 0.7526 0.7526 0.7526
14 N 0.7961 0.2579 0.2579